(1)
For CrCoO4, a cell relaxed with PBE+U gives the calculated XRD peak list in this record (Cu Kα (λ = 1.5418 Å)).
Peak positions follow from Bragg's law for the DFT cell and can differ from measured ones.

Largest 8 diffraction maxima, by angle, 2θ from 10° to 90°:
d [Å], 2θ (°), I/Imax
5.201, 17.0, 32
4.493, 19.8, 78
3.954, 22.5, 37
3.615, 24.6, 42
3.097, 28.8, 30
3.044, 29.3, 70
2.578, 34.8, 100
2.520, 35.6, 32

Atomic structure:
```
data_CrCoO4
_cell_length_a 10.403
_cell_length_b 6.087
_cell_length_c 4.982
_cell_angle_alpha 90.00
_cell_angle_beta 90.00
_cell_angle_gamma 90.00
_symmetry_space_group_name_H-M 'P n m a'
_symmetry_Int_Tables_number 62
loop_
_symmetry_equiv_pos_as_xyz
'x,y,z'
'-x,-y,-z'
'-x+1/2,-y,z+1/2'
'x+1/2,y,-z+1/2'
'x+1/2,-y+1/2,-z+1/2'
'-x+1/2,y+1/2,z+1/2'
'-x,y+1/2,-z'
'x,-y+1/2,z'
loop_
_atom_site_label
_atom_site_fract_x
_atom_site_fract_y
_atom_site_fract_z
_atom_site_occupancy
Cr1 0.092 0.250 0.112 1
Co1 0.228 0.750 0.051 1
O1 0.065 0.750 0.833 1
O2 0.116 0.250 0.786 1
O3 0.166 0.030 0.251 1
```

***

(2)
For Ti3CrCo2P6O24, a cell relaxed with PBE+U gives the calculated XRD peak list in this record (Cu Kα (λ = 1.5418 Å)).
Peak positions follow from Bragg's law for the DFT cell and can differ from measured ones.

Largest 8 diffraction maxima, by angle, 2θ from 10° to 90°:
d [Å], 2θ (°), I/Imax
4.317, 20.6, 74
3.666, 24.3, 100
3.519, 25.3, 20
2.704, 33.1, 63
2.493, 36.0, 32
1.914, 47.5, 31
1.833, 49.7, 23
1.632, 56.4, 22

Atomic structure:
```
data_Ti3CrCo2P6O24
_cell_length_a 8.6346
_cell_length_b 8.6346
_cell_length_c 20.8134
_cell_angle_alpha 90.00
_cell_angle_beta 90.00
_cell_angle_gamma 120.00
_symmetry_space_group_name_H-M 'R 3'
_symmetry_Int_Tables_number 146
_symmetry_space_group_name_Hall 'R 3'
loop_
_atom_site_label
_atom_site_fract_x
_atom_site_fract_y
_atom_site_fract_z
_atom_site_occupancy
Ti1 0.0000 0.0000 0.0000 1
Ti2 0.0000 0.0000 0.2150 1
Ti3 0.0000 0.0000 0.7151 1
Cr1 0.0000 0.0000 0.4981 1
Co1 0.0000 0.0000 0.3562 1
Co2 0.0000 0.0000 0.8592 1
P1 0.9998 0.2902 0.6066 1
P2 0.0008 0.7072 0.1076 1
O1 0.0002 0.1952 0.5458 1
O2 0.0044 0.1900 0.6678 1
O3 0.0051 0.8123 0.1682 1
O4 0.0201 0.8347 0.7809 1
O5 0.0241 0.1874 0.2809 1
O6 0.1483 0.6752 0.7143 1
O7 0.1651 0.4827 0.6031 1
O8 0.1692 0.6890 0.0995 1
```

***

(3)
For CrCoSbO6, a cell relaxed with PBE+U gives the calculated XRD peak list in this record (Cu Kα (λ = 1.5418 Å)).
Peak positions follow from Bragg's law for the DFT cell and can differ from measured ones.

Largest 8 diffraction maxima, by angle, 2θ from 10° to 90°:
d [Å], 2θ (°), I/Imax
4.054, 21.9, 20
3.205, 27.8, 100
2.514, 35.7, 68
2.266, 39.8, 17
1.683, 54.5, 64
1.603, 57.5, 17
1.366, 68.7, 15
1.351, 69.6, 21

Atomic structure:
```
data_CrCoSbO6
_cell_length_a 4.533
_cell_length_b 4.533
_cell_length_c 9.061
_cell_angle_alpha 90.00
_cell_angle_beta 90.00
_cell_angle_gamma 90.00
_symmetry_space_group_name_H-M 'P 42 n m'
_symmetry_Int_Tables_number 102
loop_
_symmetry_equiv_pos_as_xyz
'x,y,z'
'-y+1/2,x+1/2,z+1/2'
'-x,-y,z'
'y+1/2,-x+1/2,z+1/2'
'-x+1/2,y+1/2,z+1/2'
'y,x,z'
'x+1/2,-y+1/2,z+1/2'
'-y,-x,z'
loop_
_atom_site_label
_atom_site_fract_x
_atom_site_fract_y
_atom_site_fract_z
_atom_site_occupancy
Cr1 0.000 0.000 0.000 1
Co1 0.000 0.000 0.667 1
Sb1 0.000 0.000 0.333 1
O1 0.188 0.188 0.832 1
O2 0.197 0.197 0.505 1
O3 0.199 0.199 0.163 1
```

***

(4)
For Cr3Co3Te2O16, a cell relaxed with PBE+U gives the calculated XRD peak list in this record (Cu Kα (λ = 1.5418 Å)).
Peak positions follow from Bragg's law for the DFT cell and can differ from measured ones.

Largest 8 diffraction maxima, by angle, 2θ from 10° to 90°:
d [Å], 2θ (°), I/Imax
4.452, 19.9, 100
4.396, 20.2, 62
4.340, 20.5, 27
3.419, 26.1, 25
2.479, 36.2, 27
2.465, 36.5, 26
2.425, 37.1, 30
1.451, 64.2, 27

Atomic structure:
```
data_Cr3Co3Te2O16
_cell_length_a 5.805
_cell_length_b 5.808
_cell_length_c 9.139
_cell_angle_alpha 88.53
_cell_angle_beta 88.52
_cell_angle_gamma 60.55
_symmetry_space_group_name_H-M 'P 1'
_symmetry_Int_Tables_number 1
loop_
_symmetry_equiv_pos_as_xyz
'x,y,z'
loop_
_atom_site_label
_atom_site_fract_x
_atom_site_fract_y
_atom_site_fract_z
_atom_site_occupancy
Cr1 0.000 0.000 0.000 1
Cr2 0.173 0.660 0.495 1
Cr3 0.660 0.173 0.494 1
Co1 0.002 0.488 0.988 1
Co2 0.488 0.002 0.988 1
Co3 0.660 0.661 0.489 1
Te1 0.170 0.170 0.267 1
Te2 0.504 0.504 0.771 1
O1 0.001 0.499 0.372 1
O2 0.003 0.003 0.374 1
O3 0.163 0.163 0.889 1
O4 0.167 0.669 0.875 1
O5 0.313 0.313 0.107 1
O6 0.314 0.871 0.120 1
O7 0.352 0.353 0.630 1
O8 0.360 0.797 0.618 1
O9 0.500 0.001 0.372 1
O10 0.501 0.504 0.386 1
O11 0.670 0.167 0.875 1
O12 0.672 0.672 0.874 1
O13 0.796 0.361 0.618 1
O14 0.827 0.826 0.576 1
O15 0.830 0.830 0.076 1
O16 0.871 0.314 0.120 1
```